Entry 1:
Theoretical XRD peak list of CdRe2H8C2S2N4O8 for a wavelength of 1.5418 Å, from the PBE geometry in the Materials Project.
Lines closer than 0.1° are merged.

Atomic structure:
a b c (Å): 6.1693 11.8343 10.8940
angles (deg): 90.00 93.93 90.00
Space group P2_1/c (No. 14)
One atom of each set of equivalent atoms:
Cd 0.0000 0.0000 0.0000 [2 per cell]
Re 0.4854 0.2208 0.9418 [4 per cell]
H 0.1023 0.1753 0.5949 [4 per cell]
H 0.1579 0.6567 0.8543 [4 per cell]
H 0.3087 0.5752 0.2406 [4 per cell]
H 0.3743 0.0416 0.6505 [4 per cell]
C 0.0600 0.0347 0.7019 [4 per cell]
S 0.1284 0.0412 0.2197 [4 per cell]
N 0.0033 0.6282 0.8589 [4 per cell]
N 0.2636 0.5011 0.1986 [4 per cell]
O 0.2189 0.1678 0.9494 [4 per cell]
O 0.3262 0.6280 0.4828 [4 per cell]
O 0.4535 0.7373 0.7112 [4 per cell]
O 0.4980 0.6474 0.9849 [4 per cell]

Largest 10 diffraction maxima, sorted by position, 5 to 70 degrees two-theta:
| index | Position (°2θ) | I (rel.) |
| --- | --- | --- |
| 0 1 1 | 11.05 | 41 |
| 1 0 0 | 14.39 | 19 |
| 0 0 2 | 16.31 | 32 |
| 0 1 2 | 17.96 | 23 |
| 1 2 0 | 20.82 | 100 |
| 0 2 2 | 22.21 | 16 |
| 1 1 -2 | 22.37 | 18 |
| 1 1 2 | 23.79 | 22 |
| 1 2 -2 | 25.94 | 25 |
| 2 0 0 | 29.02 | 18 |

***

Entry 2:
Theoretical XRD peak list of CdH20C4S4N2O12 for a wavelength of 1.5418 Å, from the PBE geometry in the Materials Project.
Lines closer than 0.1° are merged.

Atomic structure:
a b c (Å): 7.6941 8.1628 8.5645
angles (deg): 70.61 75.21 64.08
Space group P-1 (No. 2)
One atom of each set of equivalent atoms:
Cd 0.0000 0.0000 0.0000 [1 per cell]
H 0.0983 0.6024 0.1781 [2 per cell]
H 0.1292 0.0691 0.5215 [2 per cell]
H 0.1634 0.6979 0.2728 [2 per cell]
H 0.2906 0.1228 0.7835 [2 per cell]
H 0.3043 0.7120 0.7619 [2 per cell]
H 0.3162 0.1632 0.4478 [2 per cell]
H 0.3550 0.9427 0.4097 [2 per cell]
H 0.3573 0.4715 0.8849 [2 per cell]
H 0.4211 0.9184 0.8800 [2 per cell]
H 0.4954 0.4790 0.3118 [2 per cell]
C 0.2488 0.0821 0.4232 [2 per cell]
C 0.3586 0.5646 0.7588 [2 per cell]
S 0.1530 0.2050 0.2307 [2 per cell]
S 0.2062 0.5403 0.6510 [2 per cell]
N 0.0076 0.4153 0.2407 [2 per cell]
O 0.0508 0.0984 0.2099 [2 per cell]
O 0.1511 0.7006 0.1598 [2 per cell]
O 0.2040 0.6712 0.4852 [2 per cell]
O 0.2809 0.3420 0.6509 [2 per cell]
O 0.2933 0.9943 0.8391 [2 per cell]
O 0.3143 0.2214 0.1012 [2 per cell]

Largest 10 diffraction maxima, sorted by position, 5 to 70 degrees two-theta:
| index | Position (°2θ) | I (rel.) |
| --- | --- | --- |
| 1 0 0 | 12.90 | 100 |
| 1 0 1 | 15.88 | 16 |
| 0 1 -1 | 18.68 | 71 |
| 1 1 -1 | 20.72 | 35 |
| 1 1 2 | 21.82 | 54 |
| 1 2 1 | 22.11 | 40 |
| -1 1 1 | 23.26 | 21 |
| 2 2 1 | 26.62 | 24 |
| 2 1 2 | 28.03 | 16 |
| 2 0 -1 | 29.63 | 29 |

***

Entry 3:
Theoretical XRD peak list of CdH4C4S4N6 for a wavelength of 1.5418 Å, from the PBE geometry in the Materials Project.
Lines closer than 0.1° are merged.

Atomic structure:
a b c (Å): 13.4117 10.9548 8.0563
angles (deg): 90.00 95.87 90.00
Space group C2/c (No. 15)
One atom of each set of equivalent atoms:
Cd 0.0000 0.0803 0.2500 [4 per cell]
H 0.0670 0.4463 0.1180 [8 per cell]
H 0.1601 0.4876 0.2761 [8 per cell]
C 0.1115 0.3740 0.6188 [8 per cell]
C 0.1179 0.1538 0.5813 [8 per cell]
S 0.1396 0.0015 0.0790 [8 per cell]
S 0.1713 0.2544 0.7342 [8 per cell]
N 0.0570 0.3367 0.4814 [8 per cell]
N 0.0622 0.2128 0.4626 [8 per cell]
N 0.1201 0.4921 0.6659 [8 per cell]

Largest 10 diffraction maxima, sorted by position, 5 to 70 degrees two-theta:
| index | Position (°2θ) | I (rel.) |
| --- | --- | --- |
| 1 1 0 | 10.45 | 100 |
| 2 0 0 | 13.27 | 38 |
| 1 1 -1 | 14.72 | 17 |
| 0 2 1 | 19.63 | 26 |
| 3 1 -1 | 23.32 | 69 |
| 1 1 2 | 25.21 | 17 |
| 1 3 1 | 27.94 | 17 |
| 3 1 -2 | 29.59 | 19 |
| 2 2 2 | 31.73 | 28 |
| 3 1 2 | 32.62 | 17 |